Entry 1:
Starting from a structure optimized by DFT (PBE), the PXRD pattern of DyTiO3 was computed for λ = 1.5418 Å (Cu Kα).

Atomic structure:
abc: 5.7170 7.6929 5.3356
angles: 90.00 90.00 90.00
Space group Pnma (No. 62)
One atom of each set of equivalent atoms:
Dy (0.0726, 0.2500, 0.0219) x4
Ti (0.0000, 0.0000, 0.5000) x4
O (0.0452, 0.7500, 0.3783) x4
O (0.1967, 0.5582, 0.8109) x8

Top 10 peaks for 2θ from 10° to 80°, sorted by position:
Position (°2θ), intensity, index
22.80, 29, 1 0 1
23.12, 20, 0 2 0
25.60, 29, 1 1 1
31.29, 16, 2 0 0
32.70, 100, 1 2 1
33.44, 19, 2 1 0
33.59, 24, 0 0 2
48.13, 18, 2 1 2
52.35, 24, 3 1 1
59.51, 29, 1 2 3


Entry 2:
Starting from a structure optimized by DFT (PBE), the PXRD pattern of Dy2TiO5 was computed for λ = 1.5418 Å (Cu Kα).

Atomic structure:
abc: 11.8056 5.2840 7.5512
angles: 90.00 114.06 90.00
Space group C2/c (No. 15)
One atom of each set of equivalent atoms:
Dy (0.1398, 0.0122, 0.2581) x8
Ti (0.0000, 0.5000, 0.0000) x4
O (0.0000, 0.3351, 0.2500) x4
O (0.0716, 0.1829, 0.9589) x8
O (0.1681, 0.3531, 0.6398) x8

Top 10 peaks for 2θ from 10° to 80°, sorted by position:
Position (°2θ), intensity, index
18.70, 71, 1 1 0
25.84, 52, 0 0 2
29.16, 84, 1 1 -2
30.08, 100, 3 1 0
32.48, 39, 3 1 -2
32.79, 34, 4 0 -2
33.24, 26, 4 0 0
33.93, 39, 0 2 0
43.14, 30, 0 2 2
47.90, 41, 4 2 -2


Entry 3:
Starting from a structure optimized by DFT (PBE), the PXRD pattern of Dy2TiO5 was computed for λ = 1.5418 Å (Cu Kα).

Atomic structure:
abc: 10.4491 3.7214 11.3012
angles: 90.00 90.00 90.00
Space group Pnma (No. 62)
One atom of each set of equivalent atoms:
Dy (0.1144, 0.2500, 0.2232) x4
Dy (0.1361, 0.2500, 0.5552) x4
Ti (0.1755, 0.2500, 0.8793) x4
O (0.0057, 0.7500, 0.6047) x4
O (0.0091, 0.2500, 0.8433) x4
O (0.2259, 0.2500, 0.0419) x4
O (0.2372, 0.7500, 0.8818) x4
O (0.2409, 0.7500, 0.2279) x4

Top 10 peaks for 2θ from 10° to 80°, sorted by position:
Position (°2θ), intensity, index
11.53, 27, 1 0 1
25.14, 26, 1 0 3
29.23, 76, 2 0 3
29.47, 100, 2 1 0
33.86, 37, 0 1 3
34.33, 16, 4 0 0
48.98, 59, 0 2 0
55.39, 17, 1 1 6
58.04, 22, 2 2 3
61.20, 16, 4 2 0


Entry 4:
Starting from a structure optimized by DFT (PBE), the PXRD pattern of Dy2TiO5 was computed for λ = 1.5418 Å (Cu Kα).

Atomic structure:
abc: 7.3752 7.4869 12.4771
angles: 91.14 106.43 118.27
Space group P1 (No. 1)
One atom of each set of equivalent atoms:
Dy (0.0000, 0.0000, 0.0000) x1
Dy (0.0040, 0.9867, 0.4905) x1
Dy (0.0149, 0.5265, 0.5016) x1
Dy (0.0260, 0.7490, 0.7628) x1
Dy (0.0624, 0.2951, 0.2620) x1
Dy (0.4837, 0.6942, 0.7468) x1
Dy (0.4892, 0.4861, 0.0382) x1
Dy (0.5032, 0.0202, 0.0265) x1
Dy (0.5093, 0.1917, 0.7533) x1
Dy (0.9748, 0.5070, 0.9998) x1
Ti (0.0060, 0.2514, 0.7542) x1
Ti (0.4617, 0.9511, 0.5153) x1
Ti (0.4708, 0.2343, 0.2458) x1
Ti (0.5114, 0.7736, 0.2557) x1
Ti (0.9822, 0.7255, 0.2566) x1
O (0.0435, 0.2768, 0.4315) x1
O (0.1236, 0.4885, 0.6954) x1
O (0.1335, 0.3270, 0.9182) x1
O (0.1414, 0.8171, 0.9551) x1
O (0.1426, 0.8017, 0.4168) x1
O (0.1558, 0.6258, 0.2179) x1
O (0.1648, 0.1419, 0.7195) x1
O (0.2131, 0.0736, 0.2693) x1
O (0.3602, 0.1918, 0.0884) x1
O (0.3737, 0.1311, 0.5638) x1
O (0.3778, 0.7180, 0.5795) x1
O (0.4193, 0.4733, 0.2518) x1
O (0.4236, 0.9051, 0.8255) x1
O (0.4312, 0.7242, 0.0892) x1
O (0.5651, 0.8986, 0.4074) x1
O (0.5835, 0.0636, 0.2245) x1
O (0.5941, 0.3323, 0.9373) x1
O (0.7312, 0.1032, 0.6426) x1
O (0.7949, 0.4675, 0.2849) x1
O (0.8036, 0.8430, 0.2948) x1
O (0.8305, 0.8805, 0.8183) x1
O (0.8418, 0.4422, 0.8026) x1
O (0.8538, 0.7175, 0.0896) x1
O (0.8782, 0.1851, 0.0744) x1
O (0.9067, 0.7124, 0.5765) x1

Top 10 peaks for 2θ from 10° to 80°, sorted by position:
Position (°2θ), intensity, index
17.06, 25, 1 0 -2
28.93, 100, 0 2 -2
29.15, 91, 2 0 0
29.93, 89, -2 2 2
30.39, 90, 0 0 4
33.92, 36, 0 2 2
34.51, 76, 2 -2 2
47.72, 24, 2 2 -2
49.58, 24, 2 0 4
58.68, 28, 4 -2 2


Entry 5:
Starting from a structure optimized by DFT (PBE), the PXRD pattern of Dy2TiO5 was computed for λ = 1.5418 Å (Cu Kα).

Atomic structure:
abc: 7.4581 3.6355 15.5661
angles: 90.00 90.00 90.00
Space group Pnma (No. 62)
One atom of each set of equivalent atoms:
Dy (0.1079, 0.2500, 0.0834) x4
Dy (0.1491, 0.2500, 0.7382) x4
Ti (0.1199, 0.2500, 0.4236) x4
O (0.0791, 0.7500, 0.4536) x4
O (0.0832, 0.7500, 0.1740) x4
O (0.1097, 0.7500, 0.6492) x4
O (0.1556, 0.7500, 0.9951) x4
O (0.2396, 0.7500, 0.8249) x4

Top 10 peaks for 2θ from 10° to 80°, sorted by position:
Position (°2θ), intensity, index
13.16, 20, 1 0 1
16.46, 18, 1 0 2
29.50, 100, 2 0 3
30.01, 97, 0 1 3
34.45, 45, 2 1 0
34.57, 22, 0 0 6
49.61, 53, 2 1 6
50.19, 17, 0 2 0
58.40, 24, 4 1 3
59.29, 27, 2 2 3


Entry 6:
Starting from a structure optimized by DFT (PBE), the PXRD pattern of Dy2TiO5 was computed for λ = 1.5418 Å (Cu Kα).

Atomic structure:
abc: 7.1590 7.2826 12.6978
angles: 91.21 105.71 119.15
Space group P1 (No. 1)
One atom of each set of equivalent atoms:
Dy (0.0000, 0.0000, 0.0000) x1
Dy (0.0037, 0.4959, 0.5473) x1
Dy (0.0153, 0.4841, 0.0337) x1
Dy (0.4751, 0.4593, 0.0125) x1
Dy (0.4825, 0.4711, 0.5020) x1
Dy (0.4962, 0.9707, 0.0108) x1
Dy (0.5033, 0.6964, 0.7711) x1
Dy (0.5085, 0.2287, 0.2568) x1
Dy (0.5279, 0.9880, 0.5422) x1
Dy (0.6023, 0.7376, 0.2702) x1
Ti (0.9999, 0.2220, 0.7592) x1
Ti (0.0196, 0.7419, 0.7784) x1
Ti (0.0266, 0.9608, 0.5192) x1
Ti (0.0358, 0.1844, 0.2618) x1
Ti (0.5164, 0.2403, 0.7761) x1
O (0.0758, 0.7456, 0.9379) x1
O (0.0854, 0.5189, 0.7370) x1
O (0.0867, 0.1870, 0.4237) x1
O (0.0931, 0.3067, 0.9354) x1
O (0.1000, 0.7908, 0.4520) x1
O (0.1081, 0.9991, 0.2201) x1
O (0.3240, 0.3414, 0.8020) x1
O (0.3324, 0.1398, 0.6109) x1
O (0.3338, 0.4304, 0.3053) x1
O (0.3375, 0.9319, 0.8130) x1
O (0.3628, 0.1462, 0.0735) x1
O (0.3778, 0.6550, 0.5880) x1
O (0.3835, 0.6809, 0.1008) x1
O (0.6292, 0.2808, 0.4544) x1
O (0.6320, 0.7726, 0.9531) x1
O (0.6505, 0.3119, 0.9381) x1
O (0.6650, 0.8081, 0.4517) x1
O (0.6772, 0.1157, 0.7300) x1
O (0.6834, 0.5276, 0.1981) x1
O (0.6851, 0.5127, 0.7437) x1
O (0.7078, 0.0768, 0.2490) x1
O (0.9098, 0.1923, 0.1048) x1
O (0.9145, 0.9380, 0.8015) x1
O (0.9221, 0.7276, 0.6125) x1
O (0.9346, 0.1568, 0.6070) x1

Top 10 peaks for 2θ from 10° to 80°, sorted by position:
Position (°2θ), intensity, index
14.74, 24, 0 0 2
14.97, 17, 1 0 0
29.72, 100, 0 2 -2
30.19, 45, 2 0 0
30.53, 47, -2 2 2
34.66, 22, 0 2 2
34.78, 19, 2 -2 2
35.05, 18, 2 0 -4
50.12, 15, 2 -4 0
59.13, 24, 0 4 0


Entry 7:
Starting from a structure optimized by DFT (PBE), the PXRD pattern of DyTlO2 was computed for λ = 1.5418 Å (Cu Kα).

Atomic structure:
abc: 3.5040 3.5040 19.5408
angles: 90.00 90.00 120.00
Space group R-3m (No. 166, hexagonal axes)
One atom of each set of equivalent atoms:
Dy (0.0000, 0.0000, 0.0000) x3
Tl (0.0000, 0.0000, 0.5000) x3
O (0.0000, 0.0000, 0.2763) x6

Top 10 peaks for 2θ from 10° to 80°, sorted by position:
Position (°2θ), intensity, index
27.38, 48, 0 0 6
30.85, 98, 0 1 2
34.80, 100, 1 0 4
47.80, 37, 0 1 8
52.21, 32, 1 1 0
55.97, 23, 1 0 10
59.95, 34, 1 1 6
61.89, 15, 2 0 2
64.29, 17, 0 2 4
74.88, 10, 0 1 14


Entry 8:
Starting from a structure optimized by DFT (PBE), the PXRD pattern of DyTmO3 was computed for λ = 1.5418 Å (Cu Kα).

Atomic structure:
abc: 5.9074 8.3289 5.6379
angles: 90.00 90.00 90.00
Space group Pnma (No. 62)
One atom of each set of equivalent atoms:
Dy (0.0535, 0.2500, 0.0163) x4
Tm (0.0000, 0.0000, 0.5000) x4
O (0.0762, 0.7500, 0.3544) x4
O (0.1850, 0.5761, 0.8186) x8

Top 10 peaks for 2θ from 10° to 80°, sorted by position:
Position (°2θ), intensity, index
30.26, 22, 2 0 0
30.68, 100, 1 2 1
31.74, 22, 0 0 2
43.46, 12, 0 4 0
44.42, 18, 2 0 2
53.87, 11, 2 4 0
54.02, 15, 3 2 1
54.81, 11, 0 4 2
55.89, 23, 1 2 3
63.89, 11, 2 4 2